[1]
PaP4Ru6: computed powder X-ray diffraction pattern (Cu Kα (λ = 1.5418 Å)), based on DFT lattice parameters and positions (GGA-PBE).

Main lines, sorted by position (15 to 90 degrees two-theta):
hkl 1 0 1, 3.208 Å, I 17.6; hkl 2 0 0, 2.986 Å, I 22.0; hkl 1 1 1, 2.554 Å, I 22.1; hkl 2 0 1, 2.348 Å, I 100.0; hkl 2 1 0, 2.257 Å, I 26.9; hkl 0 0 2, 1.902 Å, I 17.8; hkl 2 2 0, 1.724 Å, I 19.9; hkl 2 1 2, 1.454 Å, I 13.4; hkl 3 2 1, 1.289 Å, I 12.1; hkl 2 2 2, 1.277 Å, I 14.6

Structure:
a b c (Å): 6.8951 6.8951 3.8030
angles (deg): 90.00 90.00 120.00
Space group P-6m2 (No. 187)
Symmetry-distinct sites (fractional):
Pa 0.0000 0.0000 0.0000 (multiplicity 1)
P 0.3333 0.6667 0.0000 (multiplicity 1)
P 0.3900 0.1950 0.5000 (multiplicity 3)
Ru 0.1963 0.3925 0.5000 (multiplicity 3)
Ru 0.5316 0.0632 0.0000 (multiplicity 3)



[2]
Dy2Er3Hg4: computed powder X-ray diffraction pattern (Cu Kα (λ = 1.5418 Å)), based on DFT lattice parameters and positions (GGA-PBE).

Main lines, sorted by position (15 to 90 degrees two-theta):
hkl 2 2 1, 2.986 Å, I 64.2; hkl 1 5 1, 2.949 Å, I 55.0; hkl 2 4 0, 2.734 Å, I 17.2; hkl 2 0 2, 2.609 Å, I 100.0; hkl 0 2 3, 2.542 Å, I 34.0; hkl 0 6 2, 2.385 Å, I 41.9; hkl 1 7 1, 2.294 Å, I 18.1; hkl 2 6 0, 2.256 Å, I 29.0; hkl 4 0 0, 1.729 Å, I 23.5; hkl 2 6 4, 1.492 Å, I 28.3

Structure:
a b c (Å): 6.912 17.877 7.954
angles (deg): 90.00 90.00 90.00
Space group Cmce (No. 64)
Symmetry-distinct sites (fractional):
Dy 0.000 0.095 0.089 (multiplicity 8)
Er 0.000 0.000 0.500 (multiplicity 4)
Er 0.250 0.238 0.750 (multiplicity 8)
Hg 0.000 0.166 0.467 (multiplicity 8)
Hg 0.250 0.067 0.750 (multiplicity 8)



[3]
CrFeGe2: computed powder X-ray diffraction pattern (Cu Kα (λ = 1.5418 Å)), based on DFT lattice parameters and positions (GGA-PBE).

Main lines, sorted by position (15 to 90 degrees two-theta):
hkl 1 1 1, 2.723 Å, I 33.3; hkl 1 0 -2, 2.120 Å, I 29.6; hkl 1 0 2, 2.112 Å, I 100.0; hkl 0 2 1, 2.099 Å, I 64.9; hkl 1 1 -2, 1.931 Å, I 40.0; hkl 2 1 1, 1.926 Å, I 32.6; hkl 1 2 -1, 1.919 Å, I 33.4; hkl 3 1 2, 1.262 Å, I 19.6; hkl 1 2 3, 1.260 Å, I 12.6; hkl 2 3 -1, 1.257 Å, I 21.7

Structure:
a b c (Å): 4.732 4.685 4.732
angles (deg): 90.00 90.22 90.00
Space group P2_1 (No. 4)
Symmetry-distinct sites (fractional):
Cr 0.127 0.000 0.394 (multiplicity 2)
Fe 0.361 0.272 0.883 (multiplicity 2)
Ge 0.160 0.793 0.913 (multiplicity 2)
Ge 0.349 0.479 0.403 (multiplicity 2)



[4]
NbAsPCl13: computed powder X-ray diffraction pattern (Cu Kα (λ = 1.5418 Å)), based on DFT lattice parameters and positions (GGA-PBE).

Main lines, sorted by position (15 to 90 degrees two-theta):
hkl 2 0 0, 5.371 Å, I 82.9; hkl 1 1 2, 5.046 Å, I 55.3; hkl 1 3 0, 4.894 Å, I 100.0; hkl 1 3 1, 4.539 Å, I 33.7; hkl 2 2 2, 3.620 Å, I 42.1; hkl 2 4 1, 3.157 Å, I 22.1; hkl 0 0 4, 3.049 Å, I 68.5; hkl 3 1 2, 3.034 Å, I 39.8; hkl 2 8 1, 1.900 Å, I 21.0; hkl 3 3 5, 1.892 Å, I 26.2

Structure:
a b c (Å): 10.743 16.479 12.187
angles (deg): 90.00 90.00 90.00
Space group Cmc2_1 (No. 36)
Symmetry-distinct sites (fractional):
Nb 0.000 0.214 0.000 (multiplicity 4)
As 0.000 0.437 0.854 (multiplicity 4)
P 0.000 0.137 0.536 (multiplicity 4)
Cl 0.000 0.098 0.883 (multiplicity 4)
Cl 0.000 0.138 0.376 (multiplicity 4)
Cl 0.000 0.248 0.591 (multiplicity 4)
Cl 0.000 0.337 0.103 (multiplicity 4)
Cl 0.000 0.434 0.672 (multiplicity 4)
Cl 0.149 0.080 0.589 (multiplicity 8)
Cl 0.157 0.158 0.111 (multiplicity 8)
Cl 0.157 0.275 0.882 (multiplicity 8)
Cl 0.157 0.477 0.378 (multiplicity 8)



[5]
TiNiSe: computed powder X-ray diffraction pattern (Cu Kα (λ = 1.5418 Å)), based on DFT lattice parameters and positions (GGA-PBE).

Main lines, sorted by position (15 to 90 degrees two-theta):
hkl 0 0 9, 3.292 Å, I 16.4; hkl 0 1 2, 3.130 Å, I 27.3; hkl 1 0 7, 2.554 Å, I 100.0; hkl 1 0 10, 2.175 Å, I 27.6; hkl 0 1 11, 2.061 Å, I 15.5; hkl 1 1 0, 1.849 Å, I 49.8; hkl 1 1 9, 1.612 Å, I 12.3; hkl 0 1 17, 1.531 Å, I 13.3; hkl 0 2 7, 1.498 Å, I 17.6; hkl 2 1 7, 1.164 Å, I 14.9

Structure:
a b c (Å): 3.6982 3.6982 29.6258
angles (deg): 90.00 90.00 120.00
Space group R-3m (No. 166, hexagonal axes)
Symmetry-distinct sites (fractional):
Ti 0.0000 0.0000 0.0589 (multiplicity 6)
Ni 0.0000 0.0000 0.3449 (multiplicity 6)
Se 0.0000 0.0000 0.2267 (multiplicity 6)



[6]
Cr5S8: computed powder X-ray diffraction pattern (Cu Kα (λ = 1.5418 Å)), based on DFT lattice parameters and positions (GGA-PBE).

Main lines, sorted by position (15 to 90 degrees two-theta):
hkl 1 1 0, 5.559 Å, I 71.8; hkl -1 1 1, 4.939 Å, I 14.5; hkl 2 -2 0, 2.986 Å, I 25.3; hkl 1 3 3, 2.632 Å, I 94.5; hkl 3 -1 0, 2.627 Å, I 44.2; hkl 0 2 -3, 2.037 Å, I 25.9; hkl 2 4 3, 2.034 Å, I 100.0; hkl 2 2 6, 1.725 Å, I 42.9; hkl -2 4 3, 1.722 Å, I 21.2; hkl 5 3 3, 1.574 Å, I 25.6

Structure:
a b c (Å): 8.850 8.856 10.353
angles (deg): 67.16 67.01 84.74
Space group P-1 (No. 2)
Symmetry-distinct sites (fractional):
Cr 0.000 0.000 0.000 (multiplicity 1)
Cr 0.000 0.500 0.000 (multiplicity 1)
Cr 0.024 0.014 0.323 (multiplicity 2)
Cr 0.249 0.755 0.498 (multiplicity 2)
Cr 0.251 0.254 0.501 (multiplicity 2)
Cr 0.257 0.756 0.161 (multiplicity 2)
Cr 0.262 0.774 0.824 (multiplicity 2)
Cr 0.481 0.482 0.685 (multiplicity 2)
Cr 0.500 0.500 0.000 (multiplicity 1)
S 0.034 0.208 0.084 (multiplicity 2)
S 0.035 0.195 0.751 (multiplicity 2)
S 0.038 0.203 0.429 (multiplicity 2)
S 0.207 0.556 0.751 (multiplicity 2)
S 0.215 0.556 0.069 (multiplicity 2)
S 0.226 0.547 0.410 (multiplicity 2)
S 0.278 0.961 0.584 (multiplicity 2)
S 0.286 0.958 0.924 (multiplicity 2)
S 0.295 0.948 0.252 (multiplicity 2)
S 0.460 0.301 0.250 (multiplicity 2)
S 0.464 0.293 0.920 (multiplicity 2)
S 0.465 0.299 0.572 (multiplicity 2)



[7]
Er2TmTl3S6: computed powder X-ray diffraction pattern (Cu Kα (λ = 1.5418 Å)), based on DFT lattice parameters and positions (GGA-PBE).

Main lines, sorted by position (15 to 90 degrees two-theta):
hkl 0 0 2, 3.763 Å, I 32.9; hkl 2 0 0, 3.303 Å, I 65.5; hkl 1 3 1, 2.946 Å, I 100.0; hkl 2 0 2, 2.185 Å, I 39.4; hkl 0 6 0, 1.994 Å, I 33.6; hkl 1 3 3, 1.890 Å, I 18.0; hkl 3 3 1, 1.762 Å, I 25.4; hkl 4 0 0, 1.651 Å, I 17.9; hkl 3 3 3, 1.369 Å, I 15.6; hkl 4 6 0, 1.272 Å, I 15.1

Structure:
a b c (Å): 6.908 11.966 7.870
angles (deg): 90.00 107.02 90.00
Space group C2/m (No. 12)
Symmetry-distinct sites (fractional):
Er 0.000 0.167 0.000 (multiplicity 4)
Tm 0.000 0.500 0.000 (multiplicity 2)
Tl 0.000 0.000 0.500 (multiplicity 2)
Tl 0.000 0.333 0.500 (multiplicity 4)
S 0.231 0.334 0.196 (multiplicity 8)
S 0.233 0.000 0.196 (multiplicity 4)



[8]
InHPd4: computed powder X-ray diffraction pattern (Cu Kα (λ = 1.5418 Å)), based on DFT lattice parameters and positions (GGA-PBE).

Main lines, sorted by position (15 to 90 degrees two-theta):
hkl 1 0 0, 3.748 Å, I 8.6; hkl 0 1 1, 3.272 Å, I 6.3; hkl 1 1 -1, 2.704 Å, I 6.4; hkl 1 1 1, 2.279 Å, I 100.0; hkl 0 0 3, 1.995 Å, I 16.6; hkl 2 0 -1, 1.973 Å, I 16.3; hkl 0 2 0, 1.953 Å, I 15.8; hkl 0 2 3, 1.396 Å, I 10.6; hkl 2 2 -1, 1.388 Å, I 10.1; hkl 1 3 1, 1.181 Å, I 11.8

Structure:
a b c (Å): 3.946 3.907 6.299
angles (deg): 90.00 108.13 90.00
Space group Pm (No. 6)
Symmetry-distinct sites (fractional):
In 0.000 0.000 0.000 (multiplicity 1)
H 0.347 0.500 0.685 (multiplicity 1)
Pd 0.161 0.500 0.322 (multiplicity 1)
Pd 0.336 0.000 0.672 (multiplicity 1)
Pd 0.661 0.000 0.322 (multiplicity 1)
Pd 0.836 0.500 0.671 (multiplicity 1)



[9]
GeOs: computed powder X-ray diffraction pattern (Cu Kα (λ = 1.5418 Å)), based on DFT lattice parameters and positions (GGA-PBE).

Main lines, sorted by position (15 to 90 degrees two-theta):
hkl 0 1 1, 4.726 Å, I 39.7; hkl 1 1 1, 3.079 Å, I 18.8; hkl 1 2 0, 2.943 Å, I 50.1; hkl 0 0 2, 2.835 Å, I 20.4; hkl 0 3 1, 2.547 Å, I 18.7; hkl 1 0 2, 2.324 Å, I 32.9; hkl 1 3 1, 2.157 Å, I 55.4; hkl 0 4 0, 2.138 Å, I 19.9; hkl 1 2 2, 2.042 Å, I 100.0; hkl 2 0 0, 2.029 Å, I 38.1

Structure:
a b c (Å): 4.058 8.551 5.670
angles (deg): 90.00 90.00 90.00
Space group Amm2 (No. 38)
Symmetry-distinct sites (fractional):
Ge 0.000 0.000 0.000 (multiplicity 2)
Ge 0.500 0.175 0.381 (multiplicity 4)
Os 0.000 0.226 0.668 (multiplicity 4)
Os 0.500 0.000 0.728 (multiplicity 2)



[10]
ZrMn2H: computed powder X-ray diffraction pattern (Cu Kα (λ = 1.5418 Å)), based on DFT lattice parameters and positions (GGA-PBE).

Main lines, sorted by position (15 to 90 degrees two-theta):
hkl 1 1 1, 4.248 Å, I 0.8; hkl 2 2 0, 2.601 Å, I 49.0; hkl 3 1 1, 2.218 Å, I 100.0; hkl 2 2 2, 2.124 Å, I 24.8; hkl 4 2 2, 1.502 Å, I 17.0; hkl 5 1 1, 1.416 Å, I 29.4; hkl 4 4 0, 1.301 Å, I 23.2; hkl 6 2 0, 1.163 Å, I 7.1; hkl 5 3 3, 1.122 Å, I 10.2; hkl 6 2 2, 1.109 Å, I 7.6

Structure:
a b c (Å): 7.357 7.357 7.357
angles (deg): 90.00 90.00 90.00
Space group Fd-3m (No. 227, origin choice 2)
Symmetry-distinct sites (fractional):
Zr 0.125 0.125 0.125 (multiplicity 8)
Mn 0.000 0.000 0.500 (multiplicity 16)
H 0.125 0.125 0.625 (multiplicity 8)



[11]
K2CaMnH6: computed powder X-ray diffraction pattern (Cu Kα (λ = 1.5418 Å)), based on DFT lattice parameters and positions (GGA-PBE).

Main lines, sorted by position (15 to 90 degrees two-theta):
hkl 0 0 1, 5.536 Å, I 31.0; hkl 1 0 0, 5.124 Å, I 50.2; hkl 0 1 1, 3.761 Å, I 30.6; hkl 1 1 0, 2.959 Å, I 100.0; hkl 1 1 1, 2.609 Å, I 22.1; hkl 1 0 2, 2.435 Å, I 49.4; hkl 1 1 2, 2.021 Å, I 20.0; hkl 0 2 2, 1.880 Å, I 23.2; hkl 3 0 0, 1.708 Å, I 16.8; hkl 2 1 2, 1.587 Å, I 23.7

Structure:
a b c (Å): 5.9172 5.9172 5.5358
angles (deg): 90.00 90.00 120.00
Space group P-3m1 (No. 164)
Symmetry-distinct sites (fractional):
K 0.3333 0.6667 0.3765 (multiplicity 2)
Ca 0.0000 0.0000 0.0000 (multiplicity 1)
Mn 0.0000 0.0000 0.5000 (multiplicity 1)
H 0.1348 0.2696 0.6788 (multiplicity 6)